Computed X-ray powder pattern
Compound: AgB6N6
Radiation: Cu Kα (weighted mean of Kα1 and Kα2)
Structure: a DFT-relaxed cell (GGA-PBE, Alexandria)
Kinematic intensities with the Lorentz-polarization factor, no thermal factor.

Structural model:
Cell lengths 4.599, 4.599, 4.599 Å; angles 90.00, 90.00, 90.00 degrees
Space group Pm-3 (No. 200)
One atom of each set of equivalent atoms:
1 Ag 0.000 0.000 0.000 [1 per cell]
2 B 0.000 0.247 0.500 [6 per cell]
3 N 0.000 0.500 0.254 [6 per cell]

Largest 10 diffraction maxima, by intensity, 5 to 70 degrees two-theta:
two_theta  I/Imax
19.30  100
48.48  61
44.02  47
33.75  34
39.17  30
27.42  29
60.38  21
67.55  12
64.02  7
56.60  5